Record 1
For As2O3, a PBE-relaxed structure gives the theoretical X-ray powder pattern in this record (Cu Kα (weighted mean of Kα1 and Kα2)).
Intensities are scaled so that the largest is 100.

Peak list (10 most intense, 2θ from 10° to 90°, sorted by position)
2θ/deg, d [Å], I (rel.)
13.19, 6.712, 92
26.56, 3.356, 100
30.77, 2.906, 27
33.60, 2.667, 43
40.31, 2.237, 23
44.07, 2.055, 22
52.19, 1.753, 16
56.54, 1.628, 27
61.25, 1.513, 15
65.75, 1.420, 16

Structure:
```
20
Lattice="0.000 5.812 5.812 5.812 0.000 5.812 5.812 5.812 0.000" Properties=species:S:1:pos:R:3 pbc="T T T"
As 9.016 5.515 5.515
As 2.609 2.609 2.609
As 6.109 6.109 2.609
As 6.109 2.609 6.109
As 5.515 9.016 5.515
As 5.515 5.515 9.016
As 9.016 9.016 9.016
As 2.609 6.109 6.109
O 4.359 4.359 0.527
O 4.359 0.527 4.359
O 8.192 4.359 4.359
O 7.265 7.265 3.433
O 7.265 3.433 7.265
O 11.098 7.265 7.265
O 0.527 4.359 4.359
O 4.359 8.192 4.359
O 4.359 4.359 8.192
O 3.433 7.265 7.265
O 7.265 11.098 7.265
O 7.265 7.265 11.098
```


Record 2
For Li3As2Pd3, a PBE-relaxed structure gives the theoretical X-ray powder pattern in this record (Cu Kα (weighted mean of Kα1 and Kα2)).
Intensities are scaled so that the largest is 100.

Peak list (10 most intense, 2θ from 10° to 90°, sorted by position)
2θ/deg, d [Å], I (rel.)
12.47, 7.097, 12
24.08, 3.696, 10
25.15, 3.542, 33
29.12, 3.067, 15
31.78, 2.815, 6
41.65, 2.169, 100
49.26, 1.850, 12
60.36, 1.533, 16
75.86, 1.254, 8
76.06, 1.251, 25

Structure:
```
8
Lattice="2.167 1.251 7.097 -2.167 1.251 7.097 0.000 -2.502 7.097" Properties=species:S:1:pos:R:3 pbc="T T T"
Li 0.000 0.000 0.000
Li 0.000 0.000 2.675
Li 0.000 0.000 13.322
As 0.000 0.000 8.022
As 0.000 0.000 18.605
Pd 0.000 0.000 5.384
Pd 0.000 0.000 10.681
Pd 0.000 0.000 15.928
```


Record 3
For K3CdAg2Cl8, a PBE-relaxed structure gives the theoretical X-ray powder pattern in this record (Cu Kα (weighted mean of Kα1 and Kα2)).
Intensities are scaled so that the largest is 100.

Peak list (10 most intense, 2θ from 10° to 90°, sorted by position)
2θ/deg, d [Å], I (rel.)
16.93, 5.236, 97
23.65, 3.762, 42
24.42, 3.645, 100
34.25, 2.618, 65
37.94, 2.372, 32
38.95, 2.313, 24
42.51, 2.126, 19
42.97, 2.105, 21
48.39, 1.881, 28
50.04, 1.823, 33

Structure:
```
14
Lattice="7.291 0.000 0.000 -3.645 6.314 0.000 0.000 0.000 9.370" Properties=species:S:1:pos:R:3 pbc="T T T"
K 0.000 0.000 0.000
K 0.000 4.209 5.634
K 3.645 2.105 3.735
Cd 0.000 0.000 4.685
Ag 0.000 4.209 1.650
Ag 3.645 2.105 7.719
Cl 0.000 2.078 3.095
Cl -1.846 5.275 3.095
Cl 1.800 1.039 6.275
Cl 0.000 4.209 8.631
Cl 3.645 2.105 0.739
Cl 1.846 5.275 3.095
Cl 5.491 1.039 6.275
Cl 3.645 4.236 6.275
```


Record 4
For ZrRu2RhI, a PBE-relaxed structure gives the theoretical X-ray powder pattern in this record (Cu Kα (weighted mean of Kα1 and Kα2)).
Intensities are scaled so that the largest is 100.

Peak list (10 most intense, 2θ from 10° to 90°, sorted by position)
2θ/deg, d [Å], I (rel.)
18.63, 4.764, 40
26.46, 3.369, 24
32.56, 2.750, 56
37.77, 2.382, 100
42.43, 2.130, 19
46.71, 1.945, 10
54.48, 1.684, 68
64.92, 1.436, 22
68.19, 1.375, 23
80.68, 1.191, 11

Structure:
```
5
Lattice="4.764 0.000 0.000 0.000 4.764 0.000 0.000 0.000 4.763" Properties=species:S:1:pos:R:3 pbc="T T T"
Zr 0.000 0.000 0.000
Ru 0.000 2.382 2.382
Ru 2.382 0.000 2.382
Rh 2.382 2.382 0.000
I 2.382 2.382 2.382
```


Repeat the first record exactly.
For As2O3, a PBE-relaxed structure gives the theoretical X-ray powder pattern in this record (Cu Kα (weighted mean of Kα1 and Kα2)).
Intensities are scaled so that the largest is 100.

Peak list (10 most intense, 2θ from 10° to 90°, sorted by position)
2θ/deg, d [Å], I (rel.)
13.19, 6.712, 92
26.56, 3.356, 100
30.77, 2.906, 27
33.60, 2.667, 43
40.31, 2.237, 23
44.07, 2.055, 22
52.19, 1.753, 16
56.54, 1.628, 27
61.25, 1.513, 15
65.75, 1.420, 16

Structure:
```
20
Lattice="0.000 5.812 5.812 5.812 0.000 5.812 5.812 5.812 0.000" Properties=species:S:1:pos:R:3 pbc="T T T"
As 9.016 5.515 5.515
As 2.609 2.609 2.609
As 6.109 6.109 2.609
As 6.109 2.609 6.109
As 5.515 9.016 5.515
As 5.515 5.515 9.016
As 9.016 9.016 9.016
As 2.609 6.109 6.109
O 4.359 4.359 0.527
O 4.359 0.527 4.359
O 8.192 4.359 4.359
O 7.265 7.265 3.433
O 7.265 3.433 7.265
O 11.098 7.265 7.265
O 0.527 4.359 4.359
O 4.359 8.192 4.359
O 4.359 4.359 8.192
O 3.433 7.265 7.265
O 7.265 11.098 7.265
O 7.265 7.265 11.098
```


Number 3 is which compound?
K3CdAg2Cl8